This entry pairs a crystal structure of K2Mg3ZnF12 with its theoretical powder diffraction line list. Radiation: Cu Kα. Structure: a crystal structure in Alexandria, relaxed with GGA-PBE.
No peak broadening, texture or thermal motion is included.

The 10 most intense peaks (10 to 90 degrees two-theta), low angle first:
2theta, d (Å), I_rel, hkl
14.96, 5.923, 81, 1 0 1
17.18, 5.162, 25, 0 1 2
24.62, 3.616, 20, 1 1 0
28.32, 3.151, 74, 0 1 5
28.73, 3.107, 100, 1 1 3
30.18, 2.961, 49, 2 0 2
45.97, 1.974, 42, 3 0 3
49.46, 1.843, 50, 2 0 8
50.48, 1.808, 47, 2 2 0
58.89, 1.568, 21, 3 1 5

Structure:
```
data_K2Mg3ZnF12
_cell_length_a 7.2313
_cell_length_b 7.2313
_cell_length_c 18.2337
_cell_angle_alpha 90.00
_cell_angle_beta 90.00
_cell_angle_gamma 120.00
_symmetry_space_group_name_H-M 'R -3 m'
_symmetry_Int_Tables_number 166
_symmetry_space_group_name_Hall '-R 3 2"'
loop_
_atom_site_label
_atom_site_fract_x
_atom_site_fract_y
_atom_site_fract_z
K1 0.0000 0.0000 0.1139
Mg1 0.0000 0.5000 0.0000
Zn1 0.0000 0.0000 0.5000
F1 0.0657 0.5329 0.3602
F2 0.0728 0.5364 0.1079
```